[1]
MnNbCrMo: calculated powder X-ray diffraction pattern (a wavelength of 1.5418 Å), based on a cell relaxed with PBE.

Cell and atoms:
```
data_MnNbCrMo
_chemical_formula_sum 'Mn4 Nb4 Cr4 Mo4'
_cell_length_a 6.085
_cell_length_b 6.085
_cell_length_c 6.085
_cell_angle_alpha 90.00
_cell_angle_beta 90.00
_cell_angle_gamma 90.00
_symmetry_space_group_name_H-M 'F -4 3 m'
_symmetry_Int_Tables_number 216
_symmetry_space_group_name_Hall 'F -4 2 3'
loop_
_atom_site_label
_atom_site_fract_x
_atom_site_fract_y
_atom_site_fract_z
Mn1 0.000 0.000 0.000
Nb1 0.250 0.250 0.750
Cr1 0.000 0.000 0.500
Mo1 0.250 0.250 0.250
```

Top 5 peaks for 2θ from 5° to 70°, by angle:
3.043 Å, 2θ = 29.36°, intensity 10.1, hkl 2 0 0
2.151 Å, 2θ = 42.00°, intensity 100.0, hkl 2 2 0
1.757 Å, 2θ = 52.06°, intensity 2.9, hkl 2 2 2
1.521 Å, 2θ = 60.90°, intensity 15.6, hkl 4 0 0
1.361 Å, 2θ = 69.02°, intensity 4.0, hkl 4 2 0

=====

[2]
Mn2Cr3N: calculated powder X-ray diffraction pattern (a wavelength of 1.5418 Å), based on a cell relaxed with PBE.

Cell and atoms:
```
data_Mn2Cr3N
_chemical_formula_sum 'Mn8 Cr12 N4'
_cell_length_a 6.267
_cell_length_b 6.267
_cell_length_c 6.267
_cell_angle_alpha 90.00
_cell_angle_beta 90.00
_cell_angle_gamma 90.00
_symmetry_space_group_name_H-M 'P 41 3 2'
_symmetry_Int_Tables_number 213
_symmetry_space_group_name_Hall 'P 4bd 2ab 3'
loop_
_atom_site_label
_atom_site_fract_x
_atom_site_fract_y
_atom_site_fract_z
Mn1 0.072 0.072 0.072
Cr1 0.044 0.875 0.706
N1 0.125 0.625 0.875
```

Top 10 peaks for 2θ from 5° to 70°, by angle:
4.431 Å, 2θ = 20.04°, intensity 1.3, hkl 1 1 0
2.089 Å, 2θ = 43.31°, intensity 100.0, hkl 2 2 1
1.982 Å, 2θ = 45.79°, intensity 54.9, hkl 3 1 0
1.890 Å, 2θ = 48.16°, intensity 22.3, hkl 3 1 1
1.675 Å, 2θ = 54.81°, intensity 12.1, hkl 3 2 1
1.520 Å, 2θ = 60.96°, intensity 1.4, hkl 4 1 0
1.477 Å, 2θ = 62.92°, intensity 4.3, hkl 4 1 1
1.438 Å, 2θ = 64.85°, intensity 2.0, hkl 3 3 1
1.401 Å, 2θ = 66.75°, intensity 5.4, hkl 4 2 0
1.368 Å, 2θ = 68.63°, intensity 1.2, hkl 4 2 1